This entry pairs a crystal structure of Pu2Ga5Cu3 with its computed X-ray powder pattern. Radiation: Cu Kα. Structure: a DFT-relaxed cell (PBE, Alexandria).
Peak positions follow from Bragg's law for the DFT cell and can differ from measured ones.

Principal peaks in the range 2θ = 15–90°, sorted by position:
(1 2 1), 2θ = 22.93°, rel. 523; (0 0 2), 2θ = 30.63°, rel. 216; (3 2 1), 2θ = 34.05°, rel. 1000; (2 4 0), 2θ = 34.58°, rel. 923; (2 0 2), 2θ = 35.47°, rel. 990; (0 4 2), 2θ = 43.10°, rel. 766; (5 2 1), 2θ = 49.92°, rel. 316; (3 2 3), 2θ = 56.67°, rel. 234

```
data_Pu2Ga5Cu3
_cell_length_a 10.145
_cell_length_b 12.076
_cell_length_c 5.837
_cell_angle_alpha 90.00
_cell_angle_beta 90.00
_cell_angle_gamma 90.00
_space_group_name_H-M_alt 'I b a m'
_space_group_IT_number 72
_space_group_name_Hall '-I 2 2c'
loop_
_atom_site_label
_atom_site_type_symbol
_atom_site_fract_x
_atom_site_fract_y
_atom_site_fract_z
_atom_site_occupancy
Pu1 Pu 0.230 0.137 0.000 1
Ga1 Ga 0.000 0.000 0.250 1
Ga2 Ga 0.000 0.278 0.250 1
Ga3 Ga 0.160 0.400 0.000 1
Cu1 Cu 0.000 0.500 0.250 1
Cu2 Cu 0.108 0.138 0.500 1
```